# 1
For HfZrMnRe, DFT lattice parameters and positions (PBE) gives the computed powder X-ray diffraction pattern in this record (λ = 1.5418 Å (Cu Kα)).
Kinematic intensities with the Lorentz-polarization factor, no thermal factor.

Largest 6 diffraction maxima, low angle first, 10° ≤ 2θ ≤ 90°:
d = 3.764 Å, intensity 21
d = 2.305 Å, intensity 100
d = 1.966 Å, intensity 12
d = 1.630 Å, intensity 17
d = 1.331 Å, intensity 34
d = 1.153 Å, intensity 11

Cell and atoms:
a b c (Å): 4.610 4.610 4.610
angles (deg): 60.00 60.00 60.00
Fractional positions:
Hf: 0.000 0.000 0.000
Zr: 0.500 0.500 0.500
Mn: 0.250 0.250 0.250
Re: 0.750 0.750 0.750



# 2
For HfMn3Rh4, DFT lattice parameters and positions (PBE) gives the computed powder X-ray diffraction pattern in this record (λ = 1.5418 Å (Cu Kα)).
Kinematic intensities with the Lorentz-polarization factor, no thermal factor.

Largest 6 diffraction maxima, low angle first, 10° ≤ 2θ ≤ 90°:
d = 4.396 Å, intensity 14
d = 2.538 Å, intensity 7
d = 2.198 Å, intensity 100
d = 1.554 Å, intensity 16
d = 1.269 Å, intensity 32
d = 1.099 Å, intensity 11

Cell and atoms:
a b c (Å): 5.385 5.385 5.385
angles (deg): 109.47 109.47 109.47
Fractional positions:
Hf: 0.000 0.000 0.000
Mn: 0.000 0.500 0.500
Mn: 0.500 0.000 0.500
Mn: 0.500 0.500 0.000
Rh: 0.000 0.000 0.500
Rh: 0.000 0.500 0.000
Rh: 0.500 0.000 0.000
Rh: 0.500 0.500 0.500



# 3
For HfMn3Ru, DFT lattice parameters and positions (PBE) gives the computed powder X-ray diffraction pattern in this record (λ = 1.5418 Å (Cu Kα)).
Kinematic intensities with the Lorentz-polarization factor, no thermal factor.

Largest 6 diffraction maxima, low angle first, 10° ≤ 2θ ≤ 90°:
d = 3.193 Å, intensity 100
d = 2.607 Å, intensity 46
d = 2.257 Å, intensity 78
d = 1.843 Å, intensity 43
d = 1.596 Å, intensity 51
d = 1.207 Å, intensity 22

Cell and atoms:
a b c (Å): 4.515 4.515 4.515
angles (deg): 90.00 90.00 90.00
Fractional positions:
Hf: 0.000 0.000 0.000
Mn: 0.000 0.500 0.500
Mn: 0.500 0.000 0.500
Mn: 0.500 0.500 0.000
Ru: 0.500 0.500 0.500



# 4
For Hf3MnS6, DFT lattice parameters and positions (PBE) gives the computed powder X-ray diffraction pattern in this record (λ = 1.5418 Å (Cu Kα)).
Kinematic intensities with the Lorentz-polarization factor, no thermal factor.

Largest 6 diffraction maxima, low angle first, 10° ≤ 2θ ≤ 90°:
d = 4.363 Å, intensity 61
d = 4.240 Å, intensity 52
d = 3.335 Å, intensity 55
d = 3.279 Å, intensity 100
d = 3.008 Å, intensity 38
d = 2.324 Å, intensity 84

Cell and atoms:
a b c (Å): 7.398 7.398 7.398
angles (deg): 88.76 88.76 88.76
Fractional positions:
Hf: 0.075 0.219 0.584
Hf: 0.219 0.584 0.075
Hf: 0.416 0.925 0.781
Hf: 0.584 0.075 0.219
Hf: 0.781 0.416 0.925
Hf: 0.925 0.781 0.416
Mn: 0.000 0.000 0.000
Mn: 0.500 0.500 0.500
S: 0.085 0.886 0.691
S: 0.114 0.309 0.915
S: 0.178 0.535 0.406
S: 0.309 0.915 0.114
S: 0.406 0.178 0.535
S: 0.465 0.594 0.822
S: 0.535 0.406 0.178
S: 0.594 0.822 0.465
S: 0.691 0.085 0.886
S: 0.822 0.465 0.594
S: 0.886 0.691 0.085
S: 0.915 0.114 0.309



# 5
For Hf3MnSb, DFT lattice parameters and positions (PBE) gives the computed powder X-ray diffraction pattern in this record (λ = 1.5418 Å (Cu Kα)).
Kinematic intensities with the Lorentz-polarization factor, no thermal factor.

Largest 6 diffraction maxima, low angle first, 10° ≤ 2θ ≤ 90°:
d = 2.765 Å, intensity 96
d = 2.706 Å, intensity 100
d = 2.385 Å, intensity 86
d = 2.336 Å, intensity 47
d = 1.669 Å, intensity 58
d = 1.423 Å, intensity 25

Cell and atoms:
a b c (Å): 7.471 7.471 4.672
angles (deg): 90.00 90.00 125.35
Fractional positions:
Hf: 0.000 0.500 0.500
Hf: 0.127 0.873 0.000
Hf: 0.298 0.298 0.500
Hf: 0.500 0.000 0.500
Hf: 0.702 0.702 0.500
Hf: 0.873 0.127 0.000
Mn: 0.101 0.899 0.500
Mn: 0.899 0.101 0.500
Sb: 0.357 0.643 0.000
Sb: 0.643 0.357 0.000



# 6
For HfThMn, DFT lattice parameters and positions (PBE) gives the computed powder X-ray diffraction pattern in this record (λ = 1.5418 Å (Cu Kα)).
Kinematic intensities with the Lorentz-polarization factor, no thermal factor.

Largest 6 diffraction maxima, low angle first, 10° ≤ 2θ ≤ 90°:
d = 3.065 Å, intensity 41
d = 2.884 Å, intensity 67
d = 2.833 Å, intensity 100
d = 2.790 Å, intensity 53
d = 2.609 Å, intensity 38
d = 2.167 Å, intensity 59

Cell and atoms:
a b c (Å): 6.918 6.918 6.701
angles (deg): 90.00 90.00 125.02
Fractional positions:
Hf: 0.222 0.278 0.250
Hf: 0.278 0.222 0.750
Hf: 0.722 0.778 0.250
Hf: 0.778 0.722 0.750
Th: 0.197 0.803 0.392
Th: 0.303 0.697 0.892
Th: 0.697 0.303 0.108
Th: 0.803 0.197 0.608
Mn: 0.112 0.888 0.041
Mn: 0.388 0.612 0.541
Mn: 0.612 0.388 0.459
Mn: 0.888 0.112 0.959



# 7
For HfMnW, DFT lattice parameters and positions (PBE) gives the computed powder X-ray diffraction pattern in this record (λ = 1.5418 Å (Cu Kα)).
Kinematic intensities with the Lorentz-polarization factor, no thermal factor.

Largest 6 diffraction maxima, low angle first, 10° ≤ 2θ ≤ 90°:
d = 2.617 Å, intensity 28
d = 2.574 Å, intensity 37
d = 2.229 Å, intensity 100
d = 2.170 Å, intensity 45
d = 2.114 Å, intensity 38
d = 1.424 Å, intensity 24

Cell and atoms:
a b c (Å): 5.151 5.151 5.151
angles (deg): 118.94 118.71 92.05
Fractional positions:
Hf: 0.372 0.122 0.250
Hf: 0.628 0.878 0.750
Mn: 0.000 0.000 0.500
Mn: 0.000 0.500 0.000
W: 0.000 0.500 0.500
W: 0.500 0.500 0.000



# 8
For Hf5Mn4Zn, DFT lattice parameters and positions (PBE) gives the computed powder X-ray diffraction pattern in this record (λ = 1.5418 Å (Cu Kα)).
Kinematic intensities with the Lorentz-polarization factor, no thermal factor.

Largest 6 diffraction maxima, low angle first, 10° ≤ 2θ ≤ 90°:
d = 3.233 Å, intensity 15
d = 3.182 Å, intensity 32
d = 2.268 Å, intensity 100
d = 2.250 Å, intensity 52
d = 1.591 Å, intensity 17
d = 1.303 Å, intensity 33

Cell and atoms:
a b c (Å): 3.182 3.182 16.163
angles (deg): 90.00 90.00 90.00
Fractional positions:
Hf: 0.000 0.000 0.000
Hf: 0.000 0.000 0.197
Hf: 0.000 0.000 0.387
Hf: 0.000 0.000 0.613
Hf: 0.000 0.000 0.803
Mn: 0.500 0.500 0.097
Mn: 0.500 0.500 0.296
Mn: 0.500 0.500 0.704
Mn: 0.500 0.500 0.903
Zn: 0.500 0.500 0.500